Computed PXRD pattern
Compound: Ac2Tb7Nd3
Radiation: Cu Kα X-rays
Structure: a crystal structure in Alexandria, relaxed with PBE
Neutral-atom scattering factors, no anomalous dispersion.

Cell and atoms:
a = 6.4756 Å, b = 3.6306 Å, c = 17.9995 Å
α = 90.00°, β = 96.60°, γ = 90.00°
Sites, in units of the cell vectors:
Ac1 0.0544 0.0000 0.1747
Ac2 0.9456 0.0000 0.8253
Tb1 0.0000 0.5000 0.5000
Tb2 0.2273 0.0000 0.6619
Tb3 0.2585 0.0000 0.0007
Tb4 0.2774 0.5000 0.3404
Tb5 0.7226 0.5000 0.6596
Tb6 0.7415 0.0000 0.9993
Tb7 0.7727 0.0000 0.3381
Nd1 0.4549 0.5000 0.8402
Nd2 0.5000 0.0000 0.5000
Nd3 0.5451 0.5000 0.1598

Largest 8 diffraction maxima, most intense first, 2θ from 10° to 90°:
2θ/deg, I (rel.)
30.0, 100
30.5, 63
33.8, 39
33.1, 33
59.6, 29
29.0, 25
49.1, 21
36.9, 17

***

Computed PXRD pattern
Compound: AcTbNd2Te5
Radiation: Cu Kα X-rays
Structure: a crystal structure in Alexandria, relaxed with PBE
Neutral-atom scattering factors, no anomalous dispersion.

Cell and atoms:
a = 5.5651 Å, b = 5.5651 Å, c = 12.2491 Å
α = 90.00°, β = 90.00°, γ = 90.00°
Sites, in units of the cell vectors:
Ac1 0.0000 0.0000 0.0000
Tb1 0.0000 0.0000 0.5000
Nd1 0.5000 0.5000 0.3531
Nd2 0.5000 0.5000 0.6469
Te1 0.0000 0.0000 0.2559
Te2 0.0000 0.0000 0.7441
Te3 0.0000 0.5000 0.5000
Te4 0.5000 0.0000 0.5000
Te5 0.5000 0.5000 0.0000

Largest 8 diffraction maxima, most intense first, 2θ from 10° to 90°:
2θ/deg, I (rel.)
32.2, 100
22.6, 92
31.6, 68
33.4, 61
47.1, 47
46.1, 37
14.5, 36
44.0, 29

***

Computed PXRD pattern
Compound: AcTbNdTm
Radiation: Cu Kα X-rays
Structure: a crystal structure in Alexandria, relaxed with PBE
Neutral-atom scattering factors, no anomalous dispersion.

Cell and atoms:
a = 3.7115 Å, b = 3.7115 Å, c = 11.8692 Å
α = 90.00°, β = 90.00°, γ = 120.00°
Sites, in units of the cell vectors:
Ac1 0.0000 0.0000 0.0000
Tb1 0.3333 0.6667 0.4889
Nd1 0.6667 0.3333 0.7317
Tm1 0.6667 0.3333 0.2560

Largest 8 diffraction maxima, most intense first, 2θ from 10° to 90°:
2θ/deg, I (rel.)
31.7, 100
28.8, 56
30.1, 34
58.7, 32
36.0, 31
49.1, 28
54.5, 20
59.6, 17

***

Computed PXRD pattern
Compound: AcTbNdTm2
Radiation: Cu Kα X-rays
Structure: a crystal structure in Alexandria, relaxed with PBE
Neutral-atom scattering factors, no anomalous dispersion.

Cell and atoms:
a = 6.3782 Å, b = 5.8298 Å, c = 9.7531 Å
α = 90.00°, β = 108.77°, γ = 90.00°
Sites, in units of the cell vectors:
Ac1 0.0684 0.2500 0.3036
Ac2 0.9316 0.7500 0.6964
Tb1 0.3371 0.7500 0.5028
Tb2 0.6629 0.2500 0.4972
Nd1 0.1371 0.7500 0.0977
Nd2 0.8629 0.2500 0.9023
Tm1 0.2813 0.2500 0.7073
Tm2 0.4652 0.2500 0.0958
Tm3 0.5348 0.7500 0.9042
Tm4 0.7187 0.7500 0.2927

Largest 8 diffraction maxima, most intense first, 2θ from 10° to 90°:
2θ/deg, I (rel.)
32.0, 100
31.9, 53
30.7, 38
55.3, 33
28.0, 25
42.0, 24
59.2, 23
49.3, 20

***

Computed PXRD pattern
Compound: AcTbNd2Y
Radiation: Cu Kα X-rays
Structure: a crystal structure in Alexandria, relaxed with PBE
Neutral-atom scattering factors, no anomalous dispersion.

Cell and atoms:
a = 6.4976 Å, b = 5.9294 Å, c = 9.9270 Å
α = 90.00°, β = 109.04°, γ = 90.00°
Sites, in units of the cell vectors:
Ac1 0.2314 0.2500 0.2988
Ac2 0.7686 0.7500 0.7012
Tb1 0.0400 0.2500 0.9012
Tb2 0.9600 0.7500 0.0988
Nd1 0.3651 0.7500 0.9055
Nd2 0.4300 0.2500 0.7021
Nd3 0.5700 0.7500 0.2979
Nd4 0.6349 0.2500 0.0945
Y1 0.1612 0.7500 0.5004
Y2 0.8388 0.2500 0.4996

Largest 8 diffraction maxima, most intense first, 2θ from 10° to 90°:
2θ/deg, I (rel.)
31.4, 100
30.1, 25
27.4, 24
58.2, 23
54.3, 21
48.5, 20
58.9, 17
41.2, 16

***

Computed PXRD pattern
Compound: Ac5TbNd2Y
Radiation: Cu Kα X-rays
Structure: a crystal structure in Alexandria, relaxed with PBE
Neutral-atom scattering factors, no anomalous dispersion.

Cell and atoms:
a = 11.7166 Å, b = 11.7166 Å, c = 11.0982 Å
α = 90.00°, β = 90.00°, γ = 151.15°
Sites, in units of the cell vectors:
Ac1 0.9999 0.0001 0.0000
Ac2 0.0001 0.9999 0.5000
Ac3 0.1303 0.8697 0.7504
Ac4 0.2182 0.7818 0.4369
Ac5 0.2187 0.7813 0.0641
Ac6 0.4972 0.5028 0.7501
Ac7 0.5028 0.4972 0.2501
Ac8 0.7813 0.2187 0.5641
Ac9 0.7818 0.2182 0.9369
Ac10 0.8697 0.1303 0.2504
Tb1 0.3033 0.6967 0.7504
Tb2 0.6967 0.3033 0.2504
Nd1 0.3863 0.6137 0.0074
Nd2 0.3861 0.6139 0.4931
Nd3 0.6137 0.3863 0.5074
Nd4 0.6139 0.3861 0.9931
Y1 0.0990 0.9010 0.2497
Y2 0.9010 0.0990 0.7497

Largest 8 diffraction maxima, most intense first, 2θ from 10° to 90°:
2θ/deg, I (rel.)
29.7, 100
30.6, 35
28.8, 30
25.1, 20
53.9, 20
32.3, 16
24.9, 14
53.3, 13

***

Computed PXRD pattern
Compound: AcTbNd2Y6
Radiation: Cu Kα X-rays
Structure: a crystal structure in Alexandria, relaxed with PBE
Neutral-atom scattering factors, no anomalous dispersion.

Cell and atoms:
a = 8.9871 Å, b = 8.9871 Å, c = 9.7448 Å
α = 93.32°, β = 93.32°, γ = 117.98°
Sites, in units of the cell vectors:
Ac1 0.0257 0.9743 0.7500
Ac2 0.9743 0.0257 0.2500
Tb1 0.4099 0.5901 0.2500
Tb2 0.5901 0.4099 0.7500
Nd1 0.1970 0.3090 0.5487
Nd2 0.3090 0.1970 0.0487
Nd3 0.6910 0.8030 0.9513
Nd4 0.8030 0.6910 0.4513
Y1 0.0184 0.5625 0.6833
Y2 0.1294 0.7456 0.0584
Y3 0.2544 0.8706 0.4416
Y4 0.2911 0.5060 0.8849
Y5 0.4375 0.9816 0.8167
Y6 0.4940 0.7089 0.6151
Y7 0.5060 0.2911 0.3849
Y8 0.5625 0.0184 0.1833
Y9 0.7089 0.4940 0.1151
Y10 0.7456 0.1294 0.5584
Y11 0.8706 0.2544 0.9416
Y12 0.9816 0.4375 0.3167

Largest 8 diffraction maxima, most intense first, 2θ from 10° to 90°:
2θ/deg, I (rel.)
30.6, 100
30.0, 41
33.3, 40
30.1, 35
27.9, 35
31.0, 33
27.7, 27
31.7, 22

***

Computed PXRD pattern
Compound: Ac3Nd5Te8
Radiation: Cu Kα X-rays
Structure: a crystal structure in Alexandria, relaxed with PBE
Neutral-atom scattering factors, no anomalous dispersion.

Cell and atoms:
a = 7.9042 Å, b = 7.9042 Å, c = 7.9042 Å
α = 90.00°, β = 90.00°, γ = 90.00°
Sites, in units of the cell vectors:
Ac1 0.0000 0.0000 0.5000
Ac2 0.0000 0.5000 0.0000
Ac3 0.5000 0.0000 0.0000
Nd1 0.0000 0.0000 0.0000
Nd2 0.0000 0.5000 0.5000
Nd3 0.5000 0.0000 0.5000
Nd4 0.5000 0.5000 0.0000
Nd5 0.5000 0.5000 0.5000
Te1 0.2534 0.2534 0.2534
Te2 0.2534 0.2534 0.7466
Te3 0.2534 0.7466 0.2534
Te4 0.2534 0.7466 0.7466
Te5 0.7466 0.2534 0.2534
Te6 0.7466 0.2534 0.7466
Te7 0.7466 0.7466 0.2534
Te8 0.7466 0.7466 0.7466

Largest 8 diffraction maxima, most intense first, 2θ from 10° to 90°:
2θ/deg, I (rel.)
32.0, 100
57.1, 39
45.9, 18
76.2, 16
67.0, 12
85.0, 4
22.5, 3
19.5, 2

***

Computed PXRD pattern
Compound: Ac4NdTe6
Radiation: Cu Kα X-rays
Structure: a crystal structure in Alexandria, relaxed with PBE
Neutral-atom scattering factors, no anomalous dispersion.

Cell and atoms:
a = 9.2500 Å, b = 9.2500 Å, c = 9.2500 Å
α = 90.71°, β = 90.71°, γ = 90.71°
Sites, in units of the cell vectors:
Ac1 0.1400 0.7500 0.3600
Ac2 0.2500 0.2500 0.2500
Ac3 0.2500 0.6400 0.8600
Ac4 0.3600 0.1400 0.7500
Ac5 0.6400 0.8600 0.2500
Ac6 0.7500 0.3600 0.1400
Ac7 0.7500 0.7500 0.7500
Ac8 0.8600 0.2500 0.6400
Nd1 0.0000 0.0000 0.0000
Nd2 0.5000 0.5000 0.5000
Te1 0.0604 0.9178 0.6780
Te2 0.0822 0.3220 0.9396
Te3 0.1780 0.4178 0.5604
Te4 0.3220 0.9396 0.0822
Te5 0.4178 0.5604 0.1780
Te6 0.4396 0.8220 0.5822
Te7 0.5604 0.1780 0.4178
Te8 0.5822 0.4396 0.8220
Te9 0.6780 0.0604 0.9178
Te10 0.8220 0.5822 0.4396
Te11 0.9178 0.6780 0.0604
Te12 0.9396 0.0822 0.3220

Largest 8 diffraction maxima, most intense first, 2θ from 10° to 90°:
2θ/deg, I (rel.)
28.8, 100
32.1, 85
30.7, 71
27.4, 57
23.4, 50
36.1, 43
41.4, 41
61.6, 34

***

Computed PXRD pattern
Compound: Ac2NdTmTe5
Radiation: Cu Kα X-rays
Structure: a crystal structure in Alexandria, relaxed with PBE
Neutral-atom scattering factors, no anomalous dispersion.

Cell and atoms:
a = 5.4530 Å, b = 5.4530 Å, c = 11.8126 Å
α = 90.00°, β = 90.00°, γ = 90.00°
Sites, in units of the cell vectors:
Ac1 0.0000 0.0000 0.2019
Ac2 0.0000 0.0000 0.7981
Nd1 0.5000 0.5000 0.5000
Tm1 0.5000 0.5000 0.0000
Te1 0.0000 0.0000 0.5000
Te2 0.0000 0.5000 0.0000
Te3 0.5000 0.0000 0.0000
Te4 0.5000 0.5000 0.2500
Te5 0.5000 0.5000 0.7500

Largest 8 diffraction maxima, most intense first, 2θ from 10° to 90°:
2θ/deg, I (rel.)
32.8, 100
23.1, 99
32.5, 53
45.3, 52
27.9, 39
30.3, 39
47.1, 37
57.1, 32

***

Computed PXRD pattern
Compound: Ac2Nd2Th
Radiation: Cu Kα X-rays
Structure: a crystal structure in Alexandria, relaxed with PBE
Neutral-atom scattering factors, no anomalous dispersion.

Cell and atoms:
a = 6.5395 Å, b = 3.7749 Å, c = 15.4691 Å
α = 90.00°, β = 90.08°, γ = 90.00°
Sites, in units of the cell vectors:
Ac1 0.1665 0.0000 0.3931
Ac2 0.3335 0.5000 0.6069
Ac3 0.6665 0.5000 0.3931
Ac4 0.8335 0.0000 0.6069
Nd1 0.1658 0.0000 0.8162
Nd2 0.3342 0.5000 0.1838
Nd3 0.6658 0.5000 0.8162
Nd4 0.8342 0.0000 0.1838
Th1 0.0000 0.5000 0.0000
Th2 0.5000 0.0000 0.0000

Largest 8 diffraction maxima, most intense first, 2θ from 10° to 90°:
2θ/deg, I (rel.)
29.7, 100
32.4, 52
28.9, 38
57.2, 35
27.9, 34
48.2, 32
36.0, 31
49.8, 19

***

Computed PXRD pattern
Compound: AcNd14Th
Radiation: Cu Kα X-rays
Structure: a crystal structure in Alexandria, relaxed with PBE
Neutral-atom scattering factors, no anomalous dispersion.

Cell and atoms:
a = 7.3857 Å, b = 7.3857 Å, c = 10.4590 Å
α = 90.00°, β = 90.00°, γ = 90.00°
Sites, in units of the cell vectors:
Ac1 0.0000 0.0000 0.0000
Nd1 0.0000 0.0000 0.5000
Nd2 0.0000 0.5000 0.0000
Nd3 0.0000 0.5000 0.5000
Nd4 0.2556 0.2556 0.2501
Nd5 0.2556 0.2556 0.7499
Nd6 0.2556 0.7444 0.2501
Nd7 0.2556 0.7444 0.7499
Nd8 0.5000 0.0000 0.0000
Nd9 0.5000 0.0000 0.5000
Nd10 0.5000 0.5000 0.5000
Nd11 0.7444 0.2556 0.2501
Nd12 0.7444 0.2556 0.7499
Nd13 0.7444 0.7444 0.2501
Nd14 0.7444 0.7444 0.7499
Th1 0.5000 0.5000 0.0000

Largest 8 diffraction maxima, most intense first, 2θ from 10° to 90°:
2θ/deg, I (rel.)
29.6, 100
34.3, 51
58.6, 44
49.3, 37
80.1, 18
61.5, 13
82.6, 11
82.6, 5